This entry pairs a crystal structure of Nd4Y3ErS8 with its theoretical powder diffractogram. Radiation: λ = 1.5418 Å (Cu Kα). Structure: a structure optimized by DFT (PBE).
Lines closer than 0.1° are merged.

Atomic structure:
```
data_Nd4Y3ErS8
_chemical_formula_sum 'Nd12 Y9 Er3 S24'
_cell_length_a 7.9153
_cell_length_b 7.9153
_cell_length_c 19.8471
_cell_angle_alpha 90.00
_cell_angle_beta 90.00
_cell_angle_gamma 120.00
_space_group_name_H-M_alt 'R -3 m'
_space_group_IT_number 166
_space_group_name_Hall '-R 3 2"'
loop_
_atom_site_label
_atom_site_fract_x
_atom_site_fract_y
_atom_site_fract_z
_atom_site_occupancy
Nd1 0.0000 0.0000 0.0000 1
Nd2 0.0000 0.5000 0.0000 1
Y1 0.0000 0.5000 0.5000 1
Er1 0.0000 0.0000 0.5000 1
S1 0.0000 0.0000 0.2448 1
S2 0.0026 0.5013 0.2442 1
```

Principal peaks in the range 5° ≤ 2θ ≤ 70°, sorted by position:
| (hkl) | d/Å | Rel. int. |
| --- | --- | --- |
| 0 0 6 | 3.308 | 17 |
| 2 0 2 | 3.240 | 48 |
| 0 2 4 | 2.820 | 100 |
| 2 0 8 | 2.010 | 36 |
| 2 2 0 | 1.979 | 35 |
| 0 2 10 | 1.717 | 9 |
| 2 2 6 | 1.698 | 16 |
| 0 4 2 | 1.689 | 8 |
| 4 0 4 | 1.620 | 18 |
| 0 4 8 | 1.410 | 11 |